Entry 1:
Computed X-ray powder pattern
Compound: ZrCrGe2
Radiation: Cu Kα X-rays
Structure: DFT lattice parameters and positions (GGA-PBE)
Intensities are scaled so that the largest is 100.

Cell and atoms:
```
data_ZrCrGe2
_symmetry_space_group_name_H-M 'P b a m'
_symmetry_Int_Tables_number 55
_symmetry_space_group_name_Hall '-P 2 2ab'
_cell_length_a 9.3653
_cell_length_b 10.1158
_cell_length_c 8.2072
_cell_angle_alpha 90.00
_cell_angle_beta 90.00
_cell_angle_gamma 90.00
loop_
_atom_site_label
_atom_site_type_symbol
_atom_site_fract_x
_atom_site_fract_y
_atom_site_fract_z
Zr1 Zr 0.1662 0.1794 0.0000
Zr2 Zr 0.1712 0.4529 0.2452
Cr1 Cr 0.0000 0.0000 0.2454
Cr2 Cr 0.0827 0.7551 0.2496
Ge1 Ge 0.0413 0.6221 0.0000
Ge2 Ge 0.0448 0.6238 0.5000
Ge3 Ge 0.1250 0.9044 0.5000
Ge4 Ge 0.1316 0.8983 0.0000
Ge5 Ge 0.1680 0.1823 0.3428
```

Peak list (10 most intense, 2θ from 10° to 90°, in order of rising 2θ)
d (Å)  intensity  hkl
2.441  41  1 4 0
2.413  76  3 1 2
2.300  13  2 1 3
2.291  50  3 3 0
2.278  100  4 1 0
2.153  41  0 4 2
2.052  28  0 0 4
1.434  13  4 5 2
1.381  15  2 7 0
1.243  13  3 1 6

Entry 2:
Computed X-ray powder pattern
Compound: CrH
Radiation: Cu Kα X-rays
Structure: DFT lattice parameters and positions (GGA-PBE)
Intensities are scaled so that the largest is 100.

Cell and atoms:
```
data_CrH
_symmetry_space_group_name_H-M 'F m -3 m'
_symmetry_Int_Tables_number 225
_symmetry_space_group_name_Hall '-F 4 2 3'
_cell_length_a 3.7790
_cell_length_b 3.7790
_cell_length_c 3.7790
_cell_angle_alpha 90.00
_cell_angle_beta 90.00
_cell_angle_gamma 90.00
loop_
_atom_site_label
_atom_site_type_symbol
_atom_site_fract_x
_atom_site_fract_y
_atom_site_fract_z
Cr1 Cr 0.0000 0.0000 0.0000
H1 H 0.0000 0.0000 0.5000
```

Peak list (5 most intense, 2θ from 10° to 90°, in order of rising 2θ)
d (Å)  intensity  hkl
2.182  100  1 1 1
1.890  50  2 0 0
1.336  28  2 2 0
1.139  30  3 1 1
1.091  9  2 2 2

Entry 3:
Computed X-ray powder pattern
Compound: Cr3H
Radiation: Cu Kα X-rays
Structure: DFT lattice parameters and positions (GGA-PBE)
Intensities are scaled so that the largest is 100.

Cell and atoms:
```
data_Cr3H
_symmetry_space_group_name_H-M 'I 4/m m m'
_symmetry_Int_Tables_number 139
_symmetry_space_group_name_Hall '-I 4 2'
_cell_length_a 3.1889
_cell_length_b 3.1889
_cell_length_c 7.9805
_cell_angle_alpha 90.00
_cell_angle_beta 90.00
_cell_angle_gamma 90.00
loop_
_atom_site_label
_atom_site_type_symbol
_atom_site_fract_x
_atom_site_fract_y
_atom_site_fract_z
Cr1 Cr 0.0000 0.0000 0.0000
Cr2 Cr 0.0000 0.5000 0.2500
H1 H 0.0000 0.0000 0.5000
```

Peak list (10 most intense, 2θ from 10° to 90°, in order of rising 2θ)
d (Å)  intensity  hkl
3.990  20  0 0 2
2.961  37  1 0 1
2.255  8  1 1 0
2.043  12  1 0 3
1.995  26  0 0 4
1.963  100  1 1 2
1.594  24  2 0 0
1.246  19  2 0 4
1.146  14  1 1 6
1.127  7  2 2 0